# 1
Calculated powder diffraction line list of Cs2Rb4ZnCoO5 for Cu Kα, 1.54184 Å, from a PBE+U-relaxed structure.
Neutral-atom scattering factors, no anomalous dispersion.

Cell and atoms:
abc: 7.2635 12.0013 7.0083
angles: 90.00 95.19 90.00
Space group Cm (No. 8)
Inequivalent atoms, fractional coordinates:
Cs (0.0000, 0.2028, 0.0000)
Rb (0.1289, 0.5000, 0.8210)
Rb (0.3574, 0.0000, 0.2012)
Rb (0.4983, 0.2654, 0.4942)
Zn (0.3021, 0.5000, 0.3130)
Co (0.2172, 0.0000, 0.6671)
O (0.0534, 0.0000, 0.4311)
O (0.1846, 0.3633, 0.2350)
O (0.3032, 0.1345, 0.7579)

Largest 8 diffraction maxima, by angle, 2θ = 15–90°:
2θ (°), d [Å], intensity
25.46, 3.499, 45
28.36, 3.147, 44
28.82, 3.098, 96
29.61, 3.017, 100
29.78, 3.000, 40
34.05, 2.633, 28
37.35, 2.408, 56
47.01, 1.933, 29

---

# 2
Calculated powder diffraction line list of Cs2Rb4ZnCoO5 for Cu Kα, 1.54184 Å, from a PBE+U-relaxed structure.
Neutral-atom scattering factors, no anomalous dispersion.

Cell and atoms:
abc: 7.2089 12.0679 7.0489
angles: 90.00 95.30 90.00
Space group Cm (No. 8)
Inequivalent atoms, fractional coordinates:
Cs (0.0000, 0.2441, 0.0000)
Rb (0.0003, 0.2116, 0.5054)
Rb (0.1381, 0.5000, 0.3495)
Rb (0.3499, 0.0000, 0.6958)
Zn (0.3184, 0.5000, 0.8071)
Co (0.2103, 0.0000, 0.1945)
O (0.0638, 0.0000, 0.9455)
O (0.2012, 0.3662, 0.7152)
O (0.2893, 0.1329, 0.2928)

Largest 8 diffraction maxima, by angle, 2θ = 15–90°:
2θ (°), d [Å], intensity
28.95, 3.084, 100
29.44, 3.034, 98
29.61, 3.017, 52
32.62, 2.745, 24
34.04, 2.634, 26
37.25, 2.414, 24
37.46, 2.401, 32
40.40, 2.233, 24

---

# 3
Calculated powder diffraction line list of CsRb5ZnCoO5 for Cu Kα, 1.54184 Å, from a PBE+U-relaxed structure.
Neutral-atom scattering factors, no anomalous dispersion.

Cell and atoms:
abc: 7.0270 11.9888 6.9017
angles: 90.00 91.50 90.00
Space group Cm (No. 8)
Inequivalent atoms, fractional coordinates:
Cs (0.0000, 0.0000, 0.0000)
Rb (0.1618, 0.2655, 0.2899)
Rb (0.1619, 0.2837, 0.7871)
Rb (0.3248, 0.0000, 0.6053)
Zn (0.4598, 0.0000, 0.1119)
Co (0.3686, 0.5000, 0.4923)
O (0.1350, 0.5000, 0.3336)
O (0.3627, 0.1377, 0.0142)
O (0.4637, 0.3637, 0.5565)

Largest 8 diffraction maxima, by angle, 2θ = 15–90°:
2θ (°), d [Å], intensity
28.93, 3.087, 12
29.48, 3.030, 79
29.86, 2.992, 100
32.54, 2.752, 12
36.01, 2.494, 16
36.99, 2.430, 33
47.78, 1.903, 15
48.21, 1.887, 13

---

# 4
Calculated powder diffraction line list of Cs3Rb3ZnCoO5 for Cu Kα, 1.54184 Å, from a PBE+U-relaxed structure.
Neutral-atom scattering factors, no anomalous dispersion.

Cell and atoms:
abc: 7.2600 12.0968 7.1100
angles: 90.00 94.81 90.00
Space group Cm (No. 8)
Inequivalent atoms, fractional coordinates:
Cs (0.0000, 0.0000, 0.0000)
Cs (0.1605, 0.2585, 0.3020)
Rb (0.1584, 0.2857, 0.8046)
Rb (0.3005, 0.0000, 0.6421)
Zn (0.4707, 0.0000, 0.1088)
Co (0.3673, 0.5000, 0.5002)
O (0.1974, 0.5000, 0.2722)
O (0.3648, 0.1351, 0.0141)
O (0.4508, 0.3664, 0.5907)

Largest 8 diffraction maxima, by angle, 2θ = 15–90°:
2θ (°), d [Å], intensity
28.09, 3.177, 27
28.76, 3.104, 99
29.22, 3.057, 100
29.54, 3.024, 53
32.31, 2.771, 25
33.90, 2.644, 26
36.98, 2.431, 33
48.02, 1.895, 21